Record 1
The following is a simulated powder diffractogram of NaVPCO7. It was derived from a crystal structure in the Materials Project, relaxed with PBE+U, using Cu Kα X-rays.

The 12 most intense peaks (10° ≤ 2θ ≤ 90°), by angle:
hkl 0 1 1, 2θ 17.0, rel. 100
hkl 1 0 -1, 2θ 18.8, rel. 35
hkl 1 0 1, 2θ 19.6, rel. 45
hkl 1 1 0, 2θ 21.8, rel. 39
hkl 1 1 1, 2θ 24.2, rel. 43
hkl 1 0 -2, 2θ 24.9, rel. 60
hkl 0 2 0, 2θ 28.3, rel. 65
hkl 1 1 2, 2θ 29.6, rel. 23
hkl 2 0 0, 2θ 33.6, rel. 29
hkl 2 0 -1, 2θ 34.6, rel. 22
hkl 1 1 3, 2θ 37.0, rel. 27
hkl 0 3 1, 2θ 44.2, rel. 23

Structure:
```
data_NaVPCO7
_cell_length_a 5.335
_cell_length_b 6.303
_cell_length_c 9.314
_cell_angle_alpha 90.00
_cell_angle_beta 92.49
_cell_angle_gamma 90.00
_space_group_name_H-M_alt 'P 1 21 1'
_space_group_IT_number 4
loop_
_space_group_symop_operation_xyz
'x,y,z'
'-x,y+1/2,-z'
loop_
_atom_site_label
_atom_site_type_symbol
_atom_site_fract_x
_atom_site_fract_y
_atom_site_fract_z
Na1 Na 0.230 0.000 0.276
V1 V 0.213 0.802 0.838
P1 P 0.280 0.294 0.943
C1 C 0.283 0.770 0.586
O1 O 0.058 0.774 0.645
O2 O 0.128 0.281 0.079
O3 O 0.203 0.484 0.847
O4 O 0.217 0.094 0.846
O5 O 0.319 0.773 0.457
O6 O 0.435 0.795 0.020
O7 O 0.462 0.766 0.692
```

---

Record 2
The following is a simulated powder diffractogram of Na5V2PC4O16. It was derived from a crystal structure in the Materials Project, relaxed with PBE+U, using Cu Kα X-rays.

The 12 most intense peaks (10° ≤ 2θ ≤ 90°), by angle:
hkl 1 1 1, 2θ 10.9, rel. 77
hkl 0 2 2, 2θ 17.7, rel. 27
hkl 2 0 2, 2θ 17.9, rel. 28
hkl 1 1 3, 2θ 20.8, rel. 70
hkl 1 3 1, 2θ 20.9, rel. 48
hkl 3 1 1, 2θ 21.1, rel. 48
hkl 1 1 5, 2θ 32.7, rel. 55
hkl 1 5 1, 2θ 33.1, rel. 100
hkl 5 1 1, 2θ 33.5, rel. 59
hkl 0 4 4, 2θ 35.9, rel. 26
hkl 4 0 4, 2θ 36.1, rel. 27
hkl 5 5 5, 2θ 56.7, rel. 30

Structure:
```
data_Na5V2PC4O16
_cell_length_a 13.885
_cell_length_b 14.093
_cell_length_c 14.237
_cell_angle_alpha 90.00
_cell_angle_beta 90.00
_cell_angle_gamma 90.00
_space_group_name_H-M_alt 'F d d 2'
_space_group_IT_number 43
_space_group_name_Hall 'F 2 -2d'
loop_
_atom_site_label
_atom_site_type_symbol
_atom_site_fract_x
_atom_site_fract_y
_atom_site_fract_z
Na1 Na 0.000 0.000 0.000
Na2 Na 0.008 0.202 0.800
Na3 Na 0.049 0.259 0.050
V1 V 0.123 0.124 0.422
P1 P 0.000 0.000 0.799
C1 C 0.089 0.088 0.209
C2 C 0.091 0.412 0.882
O1 O 0.018 0.146 0.194
O2 O 0.019 0.354 0.897
O3 O 0.064 0.064 0.864
O4 O 0.066 0.434 0.240
O5 O 0.104 0.019 0.152
O6 O 0.104 0.353 0.530
O7 O 0.105 0.148 0.560
O8 O 0.107 0.480 0.940
```

---

Record 3
The following is a simulated powder diffractogram of Na4V2PC4O16. It was derived from a crystal structure in the Materials Project, relaxed with PBE+U, using Cu Kα X-rays.

The 12 most intense peaks (10° ≤ 2θ ≤ 90°), by angle:
hkl 1 1 1, 2θ 10.9, rel. 91
hkl 2 0 2, 2θ 17.7, rel. 85
hkl 1 1 3, 2θ 20.5, rel. 79
hkl 1 3 1, 2θ 21.1, rel. 82
hkl 1 1 5, 2θ 32.3, rel. 43
hkl 3 3 3, 2θ 33.0, rel. 27
hkl 1 5 1, 2θ 33.4, rel. 100
hkl 0 4 4, 2θ 35.8, rel. 51
hkl 6 2 2, 2θ 43.0, rel. 19
hkl 1 7 1, 2θ 46.6, rel. 30
hkl 1 5 7, 2θ 55.9, rel. 23
hkl 5 5 5, 2θ 56.6, rel. 32

Structure:
```
data_Na4V2PC4O16
_cell_length_a 13.911
_cell_length_b 13.922
_cell_length_c 14.444
_cell_angle_alpha 90.00
_cell_angle_beta 90.00
_cell_angle_gamma 90.00
_space_group_name_H-M_alt 'F d d d'
_space_group_IT_number 70
loop_
_space_group_symop_operation_xyz
'x,y,z'
'-x,-y,-z'
'-x+1/4,-y+1/4,z'
'x+1/4,y+1/4,-z'
'x,-y+1/4,-z+1/4'
'-x,y+1/4,z+1/4'
'-x+1/4,y,-z+1/4'
'x+1/4,-y,z+1/4'
'x,y+1/2,z+1/2'
'-x,-y+1/2,-z+1/2'
'-x+1/4,-y+3/4,z+1/2'
'x+1/4,y+3/4,-z+1/2'
'x,-y+3/4,-z+3/4'
'-x,y+3/4,z+3/4'
'-x+1/4,y+1/2,-z+3/4'
'x+1/4,-y+1/2,z+3/4'
'x+1/2,y,z+1/2'
'-x+1/2,-y,-z+1/2'
'-x+3/4,-y+1/4,z+1/2'
'x+3/4,y+1/4,-z+1/2'
'x+1/2,-y+1/4,-z+3/4'
'-x+1/2,y+1/4,z+3/4'
'-x+3/4,y,-z+3/4'
'x+3/4,-y,z+3/4'
'x+1/2,y+1/2,z'
'-x+1/2,-y+1/2,-z'
'-x+3/4,-y+3/4,z'
'x+3/4,y+3/4,-z'
'x+1/2,-y+3/4,-z+1/4'
'-x+1/2,y+3/4,z+1/4'
'-x+3/4,y+1/2,-z+1/4'
'x+3/4,-y+1/2,z+1/4'
loop_
_atom_site_label
_atom_site_type_symbol
_atom_site_fract_x
_atom_site_fract_y
_atom_site_fract_z
Na1 Na 0.084 0.375 0.375
Na2 Na 0.125 0.333 0.125
V1 V 0.000 0.000 0.500
P1 P 0.125 0.125 0.125
C1 C 0.036 0.034 0.709
O1 O 0.023 0.271 0.612
O2 O 0.023 0.354 0.976
O3 O 0.059 0.060 0.064
O4 O 0.107 0.016 0.765
```

---

Record 4
The following is a simulated powder diffractogram of Na2VCSO7. It was derived from a crystal structure in the Materials Project, relaxed with PBE+U, using Cu Kα X-rays.

The 12 most intense peaks (10° ≤ 2θ ≤ 90°), by angle:
hkl 0 1 1, 2θ 16.3, rel. 62
hkl 1 1 1, 2θ 23.5, rel. 55
hkl 1 0 -2, 2θ 25.2, rel. 100
hkl 1 0 2, 2θ 26.0, rel. 43
hkl 0 2 0, 2θ 26.4, rel. 73
hkl 1 2 -1, 2θ 32.7, rel. 50
hkl 0 2 2, 2θ 32.9, rel. 85
hkl 1 0 -3, 2θ 33.3, rel. 24
hkl 2 0 0, 2θ 33.6, rel. 59
hkl 1 1 3, 2θ 36.8, rel. 30
hkl 1 3 3, 2θ 53.6, rel. 29
hkl 0 4 0, 2θ 54.3, rel. 28

Structure:
```
data_Na2VCSO7
_cell_length_a 5.339
_cell_length_b 6.761
_cell_length_c 9.186
_cell_angle_alpha 90.00
_cell_angle_beta 91.71
_cell_angle_gamma 90.00
_space_group_name_H-M_alt 'P 1 21/m 1'
_space_group_IT_number 11
loop_
_space_group_symop_operation_xyz
'x,y,z'
'-x,-y,-z'
'-x,y+1/2,-z'
'x,-y+1/2,z'
loop_
_atom_site_label
_atom_site_type_symbol
_atom_site_fract_x
_atom_site_fract_y
_atom_site_fract_z
Na1 Na 0.232 0.004 0.291
V1 V 0.219 0.750 0.857
C1 C 0.276 0.750 0.582
S1 S 0.278 0.250 0.919
O1 O 0.055 0.750 0.642
O2 O 0.171 0.250 0.068
O3 O 0.190 0.072 0.837
O4 O 0.305 0.750 0.446
O5 O 0.441 0.750 0.067
O6 O 0.467 0.750 0.678
```

---

Record 5
The following is a simulated powder diffractogram of NaVCSO7. It was derived from a crystal structure in the Materials Project, relaxed with PBE+U, using Cu Kα X-rays.

The 12 most intense peaks (10° ≤ 2θ ≤ 90°), by angle:
hkl 0 1 1, 2θ 16.4, rel. 100
hkl 1 0 -1, 2θ 18.6, rel. 46
hkl 1 0 1, 2θ 19.5, rel. 73
hkl -1 1 1, 2θ 23.2, rel. 24
hkl 1 1 1, 2θ 23.9, rel. 29
hkl 1 0 -2, 2θ 24.0, rel. 82
hkl 1 0 2, 2θ 25.5, rel. 34
hkl 0 2 0, 2θ 27.6, rel. 73
hkl 0 2 -1, 2θ 29.1, rel. 35
hkl 1 2 1, 2θ 34.0, rel. 24
hkl 1 1 3, 2θ 36.0, rel. 29
hkl 1 3 3, 2θ 54.5, rel. 29

Structure:
```
data_NaVCSO7
_cell_length_a 5.308
_cell_length_b 6.460
_cell_length_c 9.789
_cell_angle_alpha 90.04
_cell_angle_beta 93.35
_cell_angle_gamma 90.02
_space_group_name_H-M_alt 'P 1'
_space_group_IT_number 1
loop_
_space_group_symop_operation_xyz
'x,y,z'
loop_
_atom_site_label
_atom_site_type_symbol
_atom_site_fract_x
_atom_site_fract_y
_atom_site_fract_z
Na1 Na 0.000 0.000 0.000
Na2 Na 0.422 0.500 0.689
V1 V 0.439 0.267 0.194
V2 V 0.982 0.768 0.495
C1 C 0.517 0.250 0.951
C2 C 0.905 0.751 0.738
S1 S 0.470 0.766 0.274
S2 S 0.951 0.266 0.414
O1 O 0.003 0.082 0.503
O2 O 0.031 0.448 0.501
O3 O 0.098 0.260 0.290
O4 O 0.134 0.766 0.693
O5 O 0.287 0.265 0.996
O6 O 0.324 0.760 0.399
O7 O 0.391 0.947 0.187
O8 O 0.419 0.581 0.187
O9 O 0.574 0.251 0.830
O10 O 0.678 0.281 0.375
O11 O 0.690 0.234 0.058
O12 O 0.731 0.735 0.631
O13 O 0.744 0.781 0.313
O14 O 0.848 0.751 0.859
```

---

Record 6
The following is a simulated powder diffractogram of Na2VSiCO7. It was derived from a crystal structure in the Materials Project, relaxed with PBE+U, using Cu Kα X-rays.

The 12 most intense peaks (10° ≤ 2θ ≤ 90°), by angle:
hkl 0 1 1, 2θ 16.6, rel. 100
hkl 1 0 1, 2θ 19.6, rel. 25
hkl 1 1 0, 2θ 21.2, rel. 33
hkl 1 1 1, 2θ 23.8, rel. 36
hkl 1 0 -2, 2θ 25.0, rel. 76
hkl 1 0 2, 2θ 26.4, rel. 26
hkl 0 2 0, 2θ 26.9, rel. 48
hkl 1 2 -1, 2θ 33.0, rel. 32
hkl 2 0 0, 2θ 33.2, rel. 44
hkl 1 0 -3, 2θ 33.3, rel. 34
hkl 0 2 2, 2θ 33.6, rel. 75
hkl 0 4 0, 2θ 55.5, rel. 26

Structure:
```
data_Na2VSiCO7
_cell_length_a 5.404
_cell_length_b 6.618
_cell_length_c 9.040
_cell_angle_alpha 90.00
_cell_angle_beta 93.05
_cell_angle_gamma 90.00
_space_group_name_H-M_alt 'P 1 21/m 1'
_space_group_IT_number 11
loop_
_space_group_symop_operation_xyz
'x,y,z'
'-x,-y,-z'
'-x,y+1/2,-z'
'x,-y+1/2,z'
loop_
_atom_site_label
_atom_site_type_symbol
_atom_site_fract_x
_atom_site_fract_y
_atom_site_fract_z
Na1 Na 0.235 0.000 0.280
V1 V 0.204 0.250 0.858
Si1 Si 0.268 0.750 0.933
C1 C 0.272 0.250 0.583
O1 O 0.052 0.250 0.638
O2 O 0.127 0.750 0.092
O3 O 0.197 0.548 0.838
O4 O 0.313 0.250 0.448
O5 O 0.430 0.250 0.019
O6 O 0.452 0.250 0.689
```

---

Record 7
The following is a simulated powder diffractogram of NaVSiCO7. It was derived from a crystal structure in the Materials Project, relaxed with PBE+U, using Cu Kα X-rays.

The 12 most intense peaks (10° ≤ 2θ ≤ 90°), by angle:
hkl 0 1 1, 2θ 16.9, rel. 100
hkl 1 0 -1, 2θ 18.7, rel. 28
hkl 1 0 1, 2θ 19.6, rel. 42
hkl 1 1 0, 2θ 21.5, rel. 42
hkl 1 1 1, 2θ 24.1, rel. 35
hkl 1 0 -2, 2θ 24.9, rel. 53
hkl 1 0 2, 2θ 26.4, rel. 16
hkl 0 2 0, 2θ 27.8, rel. 54
hkl 2 0 0, 2θ 33.2, rel. 39
hkl 0 2 2, 2θ 34.2, rel. 29
hkl 1 1 3, 2θ 37.7, rel. 21
hkl 0 3 1, 2θ 43.4, rel. 18

Structure:
```
data_NaVSiCO7
_cell_length_a 5.408
_cell_length_b 6.426
_cell_length_c 9.062
_cell_angle_alpha 90.00
_cell_angle_beta 93.26
_cell_angle_gamma 90.00
_space_group_name_H-M_alt 'P 1 21 1'
_space_group_IT_number 4
loop_
_space_group_symop_operation_xyz
'x,y,z'
'-x,y+1/2,-z'
loop_
_atom_site_label
_atom_site_type_symbol
_atom_site_fract_x
_atom_site_fract_y
_atom_site_fract_z
Na1 Na 0.235 0.000 0.276
V1 V 0.202 0.220 0.844
Si1 Si 0.275 0.726 0.938
C1 C 0.278 0.242 0.580
O1 O 0.057 0.236 0.640
O2 O 0.105 0.740 0.084
O3 O 0.205 0.526 0.838
O4 O 0.214 0.939 0.841
O5 O 0.310 0.241 0.447
O6 O 0.431 0.230 0.002
O7 O 0.453 0.245 0.689
```